The following is a theoretical PXRD pattern of MgAlBi12O20. It was derived from a GGA-PBE-relaxed structure, using Cu Kα, 1.54184 Å.

Structural model:
```
MgAlBi12O20
1.0
9.0528 0.0000 0.0000
-3.0835 8.5737 0.0000
-2.9832 -4.2480 7.5297
Mg Al Bi O
1 1 12 20
Direct
0.0000 0.0000 0.0000
0.8893 0.7489 0.0843
0.0596 0.6210 0.4283
0.0771 0.0983 0.6227
0.1015 0.4967 0.9793
0.2766 0.9348 0.9221
0.2860 0.3506 0.3070
0.3558 0.9573 0.3529
0.4086 0.5876 0.7773
0.5896 0.3016 0.9130
0.6365 0.6746 0.2899
0.6900 0.9590 0.7106
0.7152 0.4612 0.6186
0.7781 0.1300 0.2356
0.1002 0.9603 0.2198
0.1651 0.6758 0.7140
0.1953 0.4181 0.4930
0.2689 0.4119 0.8550
0.2746 0.5566 0.2382
0.3000 0.0581 0.7311
0.3002 0.7848 0.0855
0.4913 0.1959 0.3557
0.5184 0.3987 0.7181
0.5511 0.0366 0.9791
0.5677 0.5731 0.4994
0.6617 0.9248 0.4531
0.6916 0.2034 0.7450
0.7125 0.7721 0.1168
0.8103 0.4001 0.3381
0.8528 0.7388 0.8751
0.9136 0.5691 0.0998
0.9217 0.1647 0.0965
0.9233 0.7868 0.4708
0.9883 0.0775 0.8135
```

Largest 10 diffraction maxima, sorted by position, 2θ from 10° to 90°:
d/Å	2theta	I_rel
3.710	23.99	50
3.355	26.57	73
3.335	26.73	100
3.309	26.95	80
3.037	29.41	23
2.842	31.48	28
2.820	31.73	40
2.808	31.87	42
2.802	31.94	45
1.805	50.56	38